(1)
The following is a computed powder diffractogram of TbPm2Tm12. It was derived from the GGA-PBE geometry in Alexandria, using λ = 1.5418 Å (Cu Kα).

Structural model:
```
30
Lattice="3.541 -5.547 0.000 3.541 5.547 0.000 -1.783 0.000 23.819" Properties=species:S:1:pos:R:3 pbc="T T T"
Tb 1.769 0.000 0.001
Tb 3.530 0.000 23.818
Pm -0.010 0.000 6.678
Pm 1.769 0.000 17.122
Pm 3.530 0.000 6.697
Pm 5.309 0.000 17.141
Tm -0.001 0.000 3.210
Tm 1.769 2.772 4.567
Tm 1.761 2.775 7.871
Tm 1.765 2.764 13.216
Tm -0.011 0.000 13.623
Tm 1.753 2.766 22.233
Tm 3.546 2.766 1.586
Tm 1.757 0.000 10.210
Tm 3.534 2.764 10.603
Tm 3.538 2.775 15.948
Tm 3.530 2.772 19.252
Tm 1.758 0.000 20.589
Tm 3.540 0.000 3.230
Tm 1.769 -2.772 4.567
Tm 1.761 -2.775 7.871
Tm 1.765 -2.764 13.216
Tm 3.542 0.000 13.609
Tm 1.753 -2.766 22.233
Tm 3.546 -2.766 1.586
Tm 5.310 0.000 10.196
Tm 3.534 -2.764 10.603
Tm 3.538 -2.775 15.948
Tm 3.530 -2.772 19.252
Tm 5.300 0.000 20.609
```

Top 12 peaks for 10 to 90 degrees two-theta, low angle first:
| 2θ (°) | I/Imax |
| --- | --- |
| 30.01 | 233 |
| 30.48 | 243 |
| 30.83 | 662 |
| 31.41 | 1000 |
| 32.28 | 805 |
| 32.67 | 397 |
| 34.18 | 405 |
| 34.50 | 531 |
| 36.56 | 214 |
| 46.58 | 297 |
| 51.63 | 217 |
| 62.21 | 249 |

(2)
The following is a computed powder diffractogram of Tb7Pm6Tm16. It was derived from the GGA-PBE geometry in Alexandria, using λ = 1.5418 Å (Cu Kα).

Structural model:
```
29
Lattice="0.000 7.844 7.844 7.844 0.000 7.844 7.844 7.844 0.000" Properties=species:S:1:pos:R:3 pbc="T T T"
Tb 0.000 0.000 0.000
Tb 3.922 3.922 0.000
Tb 3.922 0.000 3.922
Tb 7.844 3.922 3.922
Tb 0.000 3.922 3.922
Tb 3.922 7.844 3.922
Tb 3.922 3.922 7.844
Pm 7.844 7.844 4.219
Pm 7.844 4.219 7.844
Pm 11.470 7.844 7.844
Pm 4.219 7.844 7.844
Pm 7.844 11.470 7.844
Pm 7.844 7.844 11.470
Tm 10.201 5.488 5.488
Tm 2.000 2.000 2.000
Tm 5.845 5.845 2.000
Tm 5.845 2.000 5.845
Tm 5.488 5.488 5.488
Tm 10.201 10.201 5.488
Tm 10.201 5.488 10.201
Tm 13.689 9.844 9.844
Tm 2.000 5.845 5.845
Tm 5.488 10.201 5.488
Tm 5.488 5.488 10.201
Tm 10.201 10.201 10.201
Tm 9.844 13.689 9.844
Tm 9.844 9.844 13.689
Tm 13.689 13.689 13.689
Tm 5.488 10.201 10.201
```

Top 12 peaks for 10 to 90 degrees two-theta, low angle first:
| 2θ (°) | I/Imax |
| --- | --- |
| 25.39 | 52 |
| 27.86 | 57 |
| 29.59 | 95 |
| 32.28 | 1000 |
| 33.80 | 55 |
| 34.29 | 56 |
| 44.35 | 49 |
| 46.30 | 140 |
| 53.19 | 46 |
| 57.56 | 260 |
| 67.55 | 71 |
| 76.86 | 69 |

(3)
The following is a computed powder diffractogram of Tb2Pm6Tm. It was derived from the GGA-PBE geometry in Alexandria, using λ = 1.5418 Å (Cu Kα).

Structural model:
```
9
Lattice="4.695 -8.827 0.000 4.695 8.827 0.000 0.000 0.000 3.648" Properties=species:S:1:pos:R:3 pbc="T T T"
Tb 4.695 5.714 0.000
Tb 4.695 -5.714 0.000
Pm 3.045 2.909 1.824
Pm 2.956 0.000 0.000
Pm 3.045 -2.909 1.824
Pm 6.344 2.909 1.824
Pm 6.433 0.000 0.000
Pm 6.344 -2.909 1.824
Tm 0.000 0.000 1.824
```

Top 12 peaks for 10 to 90 degrees two-theta, low angle first:
| 2θ (°) | I/Imax |
| --- | --- |
| 28.97 | 369 |
| 30.37 | 1000 |
| 32.70 | 366 |
| 37.28 | 203 |
| 38.43 | 206 |
| 50.00 | 98 |
| 52.22 | 114 |
| 53.97 | 113 |
| 57.36 | 190 |
| 58.83 | 100 |
| 59.64 | 112 |
| 64.78 | 89 |